# 1
Structure and theoretical X-ray powder pattern of Cr3N2 (a structure optimized by DFT (GGA-PBE); Cu Kα (λ = 1.5418 Å)).

Most intense lines, 10° ≤ 2θ ≤ 90°, low angle first:
2θ/deg, d [Å], Rel. int., index
36.59, 2.456, 53, 1 0 2
41.15, 2.193, 100, 3 1 0
41.34, 2.184, 40, 1 1 2
41.62, 2.170, 63, 0 2 1
42.45, 2.130, 20, 2 0 2
43.45, 2.083, 50, 1 2 1
44.84, 2.021, 41, 3 1 1
46.70, 1.945, 39, 2 1 2
57.90, 1.593, 18, 1 1 3
73.02, 1.296, 20, 3 3 1

Structure:
```
data_Cr3N2
_chemical_formula_sum 'Cr12 N8'
_cell_length_a 7.4080
_cell_length_b 4.7750
_cell_length_c 5.2056
_cell_angle_alpha 90.00
_cell_angle_beta 90.00
_cell_angle_gamma 90.00
_space_group_name_H-M_alt 'P b c n'
_space_group_IT_number 60
loop_
_space_group_symop_operation_xyz
'x,y,z'
'-x,-y,-z'
'-x+1/2,-y+1/2,z+1/2'
'x+1/2,y+1/2,-z+1/2'
'x+1/2,-y+1/2,-z'
'-x+1/2,y+1/2,z'
'-x,y,-z+1/2'
'x,-y,z+1/2'
loop_
_atom_site_label
_atom_site_fract_x
_atom_site_fract_y
_atom_site_fract_z
_atom_site_occupancy
Cr1 0.0000 0.0698 0.2500 1
Cr2 0.1637 0.3896 0.6048 1
N1 0.1078 0.2506 0.9537 1
```

# 2
Structure and theoretical X-ray powder pattern of Cr23N6 (a structure optimized by DFT (GGA-PBE); Cu Kα (λ = 1.5418 Å)).

Most intense lines, 10° ≤ 2θ ≤ 90°, low angle first:
2θ/deg, d [Å], Rel. int., index
38.27, 2.352, 21, 4 2 0
42.09, 2.147, 27, 4 2 2
44.78, 2.024, 100, 3 3 3
48.99, 1.859, 23, 4 4 0
51.40, 1.778, 27, 5 3 1
52.18, 1.753, 14, 6 0 0
58.18, 1.586, 8, 6 2 2
76.92, 1.239, 19, 6 6 0
78.81, 1.214, 12, 5 5 5
83.79, 1.154, 7, 9 1 1

Structure:
```
data_Cr23N6
_chemical_formula_sum 'Cr92 N24'
_cell_length_a 10.5174
_cell_length_b 10.5174
_cell_length_c 10.5174
_cell_angle_alpha 90.00
_cell_angle_beta 90.00
_cell_angle_gamma 90.00
_space_group_name_H-M_alt 'F m -3 m'
_space_group_IT_number 225
_space_group_name_Hall '-F 4 2 3'
loop_
_atom_site_label
_atom_site_fract_x
_atom_site_fract_y
_atom_site_fract_z
_atom_site_occupancy
Cr1 0.0000 0.0000 0.0000 1
Cr2 0.0000 0.1681 0.1681 1
Cr3 0.1190 0.1190 0.3810 1
Cr4 0.2500 0.2500 0.2500 1
N1 0.0000 0.0000 0.2767 1
```